Starting from a cell relaxed with GGA-PBE, the powder XRD pattern of Be2TeMoPt was calculated for λ = 1.5418 Å (Cu Kα).

Structure:
```
data_Be2TeMoPt
_space_group_name_H-M_alt 'P 4/m m m'
_space_group_IT_number 123
_space_group_name_Hall '-P 4 2'
_cell_length_a 4.4571
_cell_length_b 4.4571
_cell_length_c 5.1195
_cell_angle_alpha 90.00
_cell_angle_beta 90.00
_cell_angle_gamma 90.00
loop_
_atom_site_label
_atom_site_type_symbol
_atom_site_fract_x
_atom_site_fract_y
_atom_site_fract_z
Be1 Be 0.0000 0.5000 0.0000
Te1 Te 0.0000 0.0000 0.0000
Mo1 Mo 0.5000 0.5000 0.5000
Pt1 Pt 0.0000 0.0000 0.5000
```

Most intense lines, 2θ = 10–80°, sorted by position:
hkl	d (Å)	2theta	I (rel.)
1 0 0	4.457	19.9	68
1 1 0	3.152	28.3	100
1 1 1	2.684	33.4	26
0 0 2	2.560	35.1	32
2 0 0	2.229	40.5	43
1 1 2	1.987	45.7	55
2 0 2	1.681	54.6	36
3 1 2	1.235	77.3	23

Starting from a cell relaxed with GGA-PBE, the powder XRD pattern of NbAl4Zn was calculated for λ = 1.5418 Å (Cu Kα).

Structure:
```
data_NbAl4Zn
_space_group_name_H-M_alt 'C m c 21'
_space_group_IT_number 36
_space_group_name_Hall 'C 2c -2'
_cell_length_a 4.7284
_cell_length_b 13.7473
_cell_length_c 6.0160
_cell_angle_alpha 90.00
_cell_angle_beta 90.00
_cell_angle_gamma 90.00
loop_
_atom_site_label
_atom_site_type_symbol
_atom_site_fract_x
_atom_site_fract_y
_atom_site_fract_z
Nb1 Nb 0.0000 0.1618 0.0000
Al1 Al 0.0000 0.9995 0.2440
Al2 Al 0.0000 0.1871 0.4956
Al3 Al 0.0000 0.3426 0.7731
Al4 Al 0.0000 0.4801 0.4885
Zn1 Zn 0.0000 0.3457 0.2069
```

Most intense lines, 2θ = 10–80°, sorted by position:
hkl	d (Å)	2theta	I (rel.)
0 2 1	4.527	19.6	21
1 1 1	3.589	24.8	36
2 0 0	2.364	38.1	34
0 6 0	2.291	39.3	25
1 3 2	2.220	40.6	100
1 5 1	2.211	40.8	23
2 6 0	1.645	55.9	18
3 3 2	1.335	70.5	19

Starting from a cell relaxed with GGA-PBE, the powder XRD pattern of HoPBrO4 was calculated for λ = 1.5418 Å (Cu Kα).

Structure:
```
data_HoPBrO4
_space_group_name_H-M_alt 'C 1 2/m 1'
_space_group_IT_number 12
_space_group_name_Hall '-C 2y'
_cell_length_a 11.1512
_cell_length_b 6.1845
_cell_length_c 6.5323
_cell_angle_alpha 90.00
_cell_angle_beta 100.90
_cell_angle_gamma 90.00
loop_
_atom_site_label
_atom_site_type_symbol
_atom_site_fract_x
_atom_site_fract_y
_atom_site_fract_z
Ho1 Ho 0.2006 0.0000 0.3222
P1 P 0.1357 0.0000 0.7584
Br1 Br 0.0267 0.5000 0.1781
O1 O 0.0033 0.0000 0.2677
O2 O 0.1802 0.1971 0.6373
O3 O 0.1974 0.0000 0.9880
```

Most intense lines, 2θ = 10–80°, sorted by position:
hkl	d (Å)	2theta	I (rel.)
2 0 -1	4.618	19.2	48
1 1 1	3.947	22.5	69
0 0 2	3.207	27.8	33
3 1 0	3.143	28.4	100
0 2 0	3.092	28.9	69
1 1 -2	2.876	31.1	28
3 1 1	2.654	33.8	41
2 2 -1	2.569	34.9	27

Starting from a cell relaxed with GGA-PBE, the powder XRD pattern of Sr2Mg2Cu15 was calculated for λ = 1.5418 Å (Cu Kα).

Structure:
```
data_Sr2Mg2Cu15
_space_group_name_H-M_alt 'R -3 m'
_space_group_IT_number 166
_space_group_name_Hall '-R 3 2"'
_cell_length_a 8.8304
_cell_length_b 8.8304
_cell_length_c 12.9137
_cell_angle_alpha 90.00
_cell_angle_beta 90.00
_cell_angle_gamma 120.00
loop_
_atom_site_label
_atom_site_type_symbol
_atom_site_fract_x
_atom_site_fract_y
_atom_site_fract_z
Sr1 Sr 0.0000 0.0000 0.1487
Mg1 Mg 0.0000 0.0000 0.3966
Cu1 Cu 0.0000 0.2917 0.5000
Cu2 Cu 0.0000 0.5000 0.0000
Cu3 Cu 0.0039 0.5020 0.3430
```

Most intense lines, 2θ = 10–80°, sorted by position:
hkl	d (Å)	2theta	I (rel.)
1 1 0	4.415	20.1	20
3 0 0	2.549	35.2	21
0 2 4	2.467	36.4	21
2 2 0	2.208	40.9	50
3 0 3	2.193	41.2	100
0 0 6	2.152	42.0	50
2 2 3	1.964	46.2	60
2 2 6	1.541	60.0	26

Starting from a cell relaxed with GGA-PBE, the powder XRD pattern of YCd2Re was calculated for λ = 1.5418 Å (Cu Kα).

Structure:
```
data_YCd2Re
_space_group_name_H-M_alt 'P 1 2/m 1'
_space_group_IT_number 10
_space_group_name_Hall '-P 2y'
_cell_length_a 2.9497
_cell_length_b 4.8058
_cell_length_c 5.8659
_cell_angle_alpha 90.00
_cell_angle_beta 100.76
_cell_angle_gamma 90.00
loop_
_atom_site_label
_atom_site_type_symbol
_atom_site_fract_x
_atom_site_fract_y
_atom_site_fract_z
Y1 Y 0.0000 0.0000 0.0000
Cd1 Cd 0.4319 0.5000 0.7298
Re1 Re 0.0000 0.0000 0.5000
```

Most intense lines, 2θ = 10–80°, sorted by position:
hkl	d (Å)	2theta	I (rel.)
0 0 1	5.763	15.4	23
1 1 0	2.482	36.2	96
0 1 2	2.471	36.4	100
0 2 0	2.403	37.4	48
1 0 -2	2.266	39.8	39
1 0 2	1.876	48.5	18
1 2 -2	1.648	55.8	29
1 2 2	1.479	62.9	19

Starting from a cell relaxed with GGA-PBE, the powder XRD pattern of Sm2TmHg5 was calculated for λ = 1.5418 Å (Cu Kα).

Structure:
```
data_Sm2TmHg5
_space_group_name_H-M_alt 'I 4/m m m'
_space_group_IT_number 139
_space_group_name_Hall '-I 4 2'
_cell_length_a 5.1937
_cell_length_b 5.1937
_cell_length_c 14.9580
_cell_angle_alpha 90.00
_cell_angle_beta 90.00
_cell_angle_gamma 90.00
loop_
_atom_site_label
_atom_site_type_symbol
_atom_site_fract_x
_atom_site_fract_y
_atom_site_fract_z
Sm1 Sm 0.0000 0.0000 0.2372
Tm1 Tm 0.0000 0.0000 0.5000
Hg1 Hg 0.0000 0.0000 0.0000
Hg2 Hg 0.0000 0.5000 0.1187
```

Most intense lines, 2θ = 10–80°, sorted by position:
hkl	d (Å)	2theta	I (rel.)
1 1 4	2.620	34.2	100
2 0 0	2.597	34.5	52
0 0 8	1.870	48.7	8
2 2 0	1.836	49.6	19
2 0 8	1.517	61.1	17
3 1 4	1.504	61.7	37
2 2 8	1.310	72.1	11
4 0 0	1.298	72.8	6

Starting from a cell relaxed with GGA-PBE, the powder XRD pattern of Pm6Er12In was calculated for λ = 1.5418 Å (Cu Kα).

Structure:
```
data_Pm6Er12In
_space_group_name_H-M_alt 'R -3'
_space_group_IT_number 148
_space_group_name_Hall '-R 3'
_cell_length_a 11.8525
_cell_length_b 11.8525
_cell_length_c 14.8803
_cell_angle_alpha 90.00
_cell_angle_beta 90.00
_cell_angle_gamma 120.00
loop_
_atom_site_label
_atom_site_type_symbol
_atom_site_fract_x
_atom_site_fract_y
_atom_site_fract_z
Pm1 Pm 0.0129 0.5903 0.1821
Er1 Er 0.0032 0.1742 0.6869
Er2 Er 0.0447 0.1927 0.9159
In1 In 0.0000 0.0000 0.5000
```

Most intense lines, 2θ = 10–80°, sorted by position:
hkl	d (Å)	2theta	I (rel.)
3 -1 1	3.754	23.7	16
0 1 5	2.858	31.3	42
0 3 3	2.816	31.8	28
4 -3 1	2.796	32.0	100
2 1 4	2.685	33.4	72
3 1 2	2.659	33.7	26
4 -2 3	2.544	35.3	18
2 5 0	1.644	55.9	19

Starting from a cell relaxed with GGA-PBE, the powder XRD pattern of Rb3Sr2Cl6 was calculated for λ = 1.5418 Å (Cu Kα).

Structure:
```
data_Rb3Sr2Cl6
_space_group_name_H-M_alt 'I 4/m m m'
_space_group_IT_number 139
_space_group_name_Hall '-I 4 2'
_cell_length_a 5.7215
_cell_length_b 5.7215
_cell_length_c 26.3488
_cell_angle_alpha 90.00
_cell_angle_beta 90.00
_cell_angle_gamma 90.00
loop_
_atom_site_label
_atom_site_type_symbol
_atom_site_fract_x
_atom_site_fract_y
_atom_site_fract_z
Rb1 Rb 0.0000 0.0000 0.0000
Rb2 Rb 0.0000 0.0000 0.1807
Sr1 Sr 0.0000 0.0000 0.4098
Cl1 Cl 0.0000 0.0000 0.3017
Cl2 Cl 0.0000 0.5000 0.0898
```

Most intense lines, 2θ = 10–80°, sorted by position:
hkl	d (Å)	2theta	I (rel.)
1 1 0	4.046	22.0	66
1 0 5	3.876	22.9	100
1 0 7	3.145	28.4	33
1 1 6	2.975	30.0	26
2 0 0	2.861	31.3	89
2 1 5	2.302	39.1	48
2 2 0	2.023	44.8	31
2 0 10	1.938	46.9	29